Simulated powder diffractogram
Compound: Tb2Zn3Cu4
Radiation: λ = 1.5418 Å (Cu Kα)
Structure: a cell relaxed with PBE

Top 8 peaks for 2θ = 10–90°, most intense first:
2θ/deg	Rel. int.
36.36	100
41.09	75
37.57	56
37.39	47
34.06	40
38.03	29
41.30	27
62.70	23

Structural model:
Unit cell a=7.943 b=7.943 c=7.581 alpha=90.00 beta=90.00 gamma=140.32
Positions (direct):
Tb (0.111, 0.889, 0.912)
Tb (0.389, 0.611, 0.412)
Tb (0.611, 0.389, 0.588)
Tb (0.889, 0.111, 0.088)
Zn (0.000, 0.000, 0.500)
Zn (0.023, 0.477, 0.750)
Zn (0.477, 0.023, 0.250)
Zn (0.500, 0.500, 0.000)
Zn (0.523, 0.977, 0.750)
Zn (0.977, 0.523, 0.250)
Cu (0.179, 0.821, 0.518)
Cu (0.190, 0.310, 0.750)
Cu (0.310, 0.190, 0.250)
Cu (0.321, 0.679, 0.018)
Cu (0.679, 0.321, 0.982)
Cu (0.690, 0.810, 0.750)
Cu (0.810, 0.690, 0.250)
Cu (0.821, 0.179, 0.482)